Theoretical X-ray powder pattern
Compound: Hg4Cl
Radiation: copper Kα
Structure: the PBE geometry in Alexandria

Structural model:
```
20
Lattice="-5.2653 5.2653 5.2653 5.2653 -5.2653 5.2653 5.2653 5.2653 -5.2653" Properties=species:S:1:pos:R:3 pbc="T T T"
Hg 1.4230 1.4230 -1.4230
Hg 1.4230 -1.4230 1.4230
Hg 3.5228 0.0000 0.0000
Hg 7.0079 0.0000 0.0000
Hg 5.2653 2.6327 0.0000
Hg 5.2653 0.0000 2.6327
Hg -1.4230 1.4230 1.4230
Hg 0.0000 3.5228 0.0000
Hg 0.0000 0.0000 3.5228
Hg 2.6327 5.2653 0.0000
Hg 2.6327 0.0000 5.2653
Hg 0.0000 7.0079 0.0000
Hg 0.0000 0.0000 7.0079
Hg 3.8424 3.8424 3.8424
Hg 0.0000 5.2653 2.6327
Hg 0.0000 2.6327 5.2653
Cl 3.0121 3.0121 -3.0121
Cl 3.0121 -3.0121 3.0121
Cl 2.2533 2.2533 2.2533
Cl -3.0121 3.0121 3.0121
```

Main lines, by intensity (10 to 80 degrees two-theta):
two_theta  I (rel.)
36.19  100
29.38  85
31.79  37
16.84  32
72.99  31
48.93  30